Structure and calculated X-ray diffraction stick pattern of Na4MnO5 (a crystal structure in Alexandria, relaxed with PBE+U; λ = 1.5418 Å (Cu Kα)).
Peak positions follow from Bragg's law for the DFT cell and can differ from measured ones.

Peak list (8 most intense, 10 to 90 degrees two-theta, low angle first)
hkl  2θ/deg  I (rel.)
1 1 0  17.90  60
1 0 1  20.45  27
0 0 2  32.37  30
2 1 1  32.84  100
3 0 1  41.98  17
2 3 1  49.72  28
3 3 0  55.64  17
2 1 3  58.04  28

Cell and atoms:
```
data_Na4MnO5
_symmetry_space_group_name_H-M 'I 4'
_symmetry_Int_Tables_number 79
_symmetry_space_group_name_Hall 'I 4'
_cell_length_a 7.0082
_cell_length_b 7.0082
_cell_length_c 5.5316
_cell_angle_alpha 90.00
_cell_angle_beta 90.00
_cell_angle_gamma 90.00
loop_
_atom_site_label
_atom_site_type_symbol
_atom_site_fract_x
_atom_site_fract_y
_atom_site_fract_z
Na1 Na 0.0006 0.2813 0.0000
Mn1 Mn 0.0000 0.0000 0.5423
O1 O 0.0000 0.0000 0.2283
O2 O 0.1760 0.1782 0.6474
```